# PrMnCu
Simulated PXRD pattern, Cu Ka. Input: a structure optimized by DFT (PBE).
No peak broadening, texture or thermal motion is included.

Structure:
```
PrMnCu
1.0
0.0000 4.6292 9.8802
2.6370 0.0000 9.8802
2.6370 4.6292 0.0000
Pr Mn Cu
4 4 4
Cartesian
1.9778 0.3988 7.4101
3.2963 2.7134 12.3502
1.9778 6.5449 7.4101
3.2963 8.8595 12.3502
1.9778 3.4719 5.8447
1.9778 3.4719 8.9755
3.2963 5.7865 10.7848
3.2963 5.7865 13.9156
0.6593 1.1573 0.0063
4.6148 8.1010 19.7540
0.6593 1.1573 4.9337
4.6148 8.1010 14.8266
```

Largest 10 diffraction maxima, by intensity, 10 to 90 degrees two-theta:
2theta  Rel. int.
36.38  100
43.54  61
35.23  61
37.42  51
33.96  46
19.89  41
33.39  40
62.37  34
40.86  29
43.16  29



# Pr6CuAg2
Simulated PXRD pattern, Cu Ka. Input: a structure optimized by DFT (PBE).
No peak broadening, texture or thermal motion is included.

Structure:
```
Pr6CuAg2
1.0
6.4284 0.0000 0.0000
0.0000 8.0556 0.0000
-5.9923 0.0000 10.6591
Pr Cu Ag
12 2 4
Cartesian
-2.0853 1.6947 4.7066
-5.0814 2.3330 10.0361
-0.7615 5.3243 4.8026
-3.7576 6.7590 10.1322
1.0302 0.3753 2.5825
-1.9659 3.6525 7.9120
2.4020 4.4031 2.7471
-0.5941 7.6802 8.0766
4.1937 1.2965 0.5269
1.1976 2.7312 5.8565
5.5175 5.7225 0.6230
2.5214 6.3608 5.9525
0.2181 0.0000 5.3296
3.2142 4.0278 0.0000
-3.5000 0.8496 7.7656
-0.5039 3.1782 2.4360
0.9400 4.8774 8.2231
3.9361 7.2060 2.8935
```

Largest 10 diffraction maxima, by intensity, 10 to 90 degrees two-theta:
2theta  Rel. int.
30.81  100
27.76  50
31.44  45
33.63  42
29.22  39
29.95  32
27.27  30
36.26  28
30.35  27
31.30  26



# Bi3Au11
Simulated PXRD pattern, Cu Ka. Input: a structure optimized by DFT (PBE).
No peak broadening, texture or thermal motion is included.

Structure:
```
Bi3Au11
1.0
-2.0825 5.7868 6.1677
2.0825 -5.7868 6.1677
2.0825 5.7868 -6.1677
Bi Au
3 11
Cartesian
0.0000 0.0000 0.0000
0.0000 0.0000 3.6425
0.0000 0.0000 8.6929
2.0825 -1.4611 1.5785
2.0825 -2.3952 4.2143
2.0825 1.4611 1.5785
2.0825 3.8451 0.0000
0.0000 3.3916 1.9534
0.0000 5.7868 0.0000
2.0825 2.3952 4.2143
0.0000 1.9418 6.1677
0.0000 4.3257 4.5892
0.0000 8.1821 1.9534
0.0000 7.2480 4.5892
```

Largest 10 diffraction maxima, by intensity, 10 to 90 degrees two-theta:
2theta  Rel. int.
34.34  100
43.43  70
38.58  44
34.88  38
37.10  38
31.61  34
66.00  27
72.95  18
39.62  17
37.27  16



# NaSn2Pt2
Simulated PXRD pattern, Cu Ka. Input: a structure optimized by DFT (PBE).
No peak broadening, texture or thermal motion is included.

Structure:
```
NaSn2Pt2
1.0
-2.3307 2.3307 5.4897
2.3307 -2.3307 5.4897
2.3307 2.3307 -5.4897
Na Sn Pt
1 2 2
Cartesian
0.0000 0.0000 0.0000
0.0000 0.0000 4.0261
0.0000 0.0000 6.9534
2.3307 0.0000 2.7449
0.0000 2.3307 2.7449
```

Largest 10 diffraction maxima, by intensity, 10 to 90 degrees two-theta:
2theta  Rel. int.
16.15  100
42.88  86
31.66  79
38.63  68
72.83  37
42.12  37
20.70  29
31.07  28
55.78  24
57.61  24